This entry pairs a crystal structure of Sm5Ge2Se2 with its theoretical PXRD pattern. Radiation: copper Kα. Structure: a structure optimized by DFT (GGA-PBE).
Lines closer than 0.1° are merged.

Atomic structure:
```
data_Sm5Ge2Se2
_symmetry_space_group_name_H-M 'C m c e'
_symmetry_Int_Tables_number 64
_symmetry_space_group_name_Hall '-C 2ac 2'
_cell_length_a 14.9173
_cell_length_b 7.8033
_cell_length_c 7.8918
_cell_angle_alpha 90.00
_cell_angle_beta 90.00
_cell_angle_gamma 90.00
loop_
_atom_site_label
_atom_site_fract_x
_atom_site_fract_y
_atom_site_fract_z
_atom_site_occupancy
Sm1 0.0000 0.0000 0.0000 1
Sm2 0.1351 0.1677 0.3367 1
Ge1 0.0000 0.1323 0.6318 1
Se1 0.1995 0.0000 0.0000 1
```

Largest 10 diffraction maxima, most intense first, 2θ from 10° to 90°:
- 31.12°, rel. 100
- 35.18°, rel. 85
- 36.88°, rel. 62
- 36.55°, rel. 60
- 33.23°, rel. 40
- 32.27°, rel. 38
- 25.47°, rel. 38
- 33.05°, rel. 36
- 34.12°, rel. 31
- 26.00°, rel. 24